Diffraction record for Dy4Er4Mg. The XRD peak list is calculated, not measured: it uses a DFT-relaxed cell (GGA-PBE, Alexandria) and Cu Kα, 1.54184 Å.

Largest 8 diffraction maxima, in order of rising 2θ, 10 to 90 degrees two-theta:
d/Å	2theta	Rel. int.
3.082	28.97	22
3.064	29.15	13
2.788	32.11	36
2.697	33.22	100
2.685	33.37	46
2.068	43.79	14
1.592	57.94	21
1.497	61.99	11

```
Dy4Er4Mg
1.0
6.6194 0.0000 0.0000
-1.8221 8.1042 0.0000
-2.9019 -0.7114 10.2193
Dy Er Mg
8 8 2
direct
0.0529 0.3021 0.3442
0.0576 0.3096 0.0031
0.2785 0.0223 0.5467
0.3937 0.6394 0.5672
0.6063 0.3606 0.4328
0.7215 0.9777 0.4533
0.9424 0.6904 0.9969
0.9471 0.6979 0.6558
0.0572 0.3031 0.6793
0.2700 0.0231 0.2066
0.3851 0.6330 0.2296
0.3922 0.6475 0.9036
0.6078 0.3525 0.0964
0.6149 0.3670 0.7704
0.7300 0.9769 0.7934
0.9428 0.6969 0.3207
0.2803 0.0264 0.8795
0.7197 0.9736 0.1205
```